For CaTiP2O7, DFT lattice parameters and positions (GGA-PBE) gives the computed X-ray powder pattern in this record (Cu Kα (weighted mean of Kα1 and Kα2)).
No peak broadening, texture or thermal motion is included.

Cell and atoms:
abc: 6.242 6.684 7.259
angles: 84.33 87.69 68.03
Element x y z (fractional)
Ca: 0.206 0.286 0.366
Ca: 0.794 0.714 0.634
Ti: 0.232 0.872 0.829
Ti: 0.768 0.128 0.171
P: 0.262 0.782 0.388
P: 0.332 0.342 0.879
P: 0.668 0.658 0.121
P: 0.738 0.218 0.612
O: 0.106 0.998 0.286
O: 0.137 0.631 0.452
O: 0.162 0.579 0.859
O: 0.251 0.185 0.793
O: 0.395 0.832 0.540
O: 0.420 0.268 0.080
O: 0.442 0.650 0.237
O: 0.558 0.350 0.763
O: 0.580 0.732 0.920
O: 0.605 0.168 0.460
O: 0.749 0.815 0.207
O: 0.838 0.421 0.141
O: 0.863 0.369 0.548
O: 0.894 0.002 0.714

Main lines, most intense first (10 to 90 degrees two-theta):
2θ (°), intensity, (hkl)
29.15, 100, 1 0 -2
30.88, 31, 2 0 0
27.22, 29, 1 2 0
28.93, 19, 0 2 0
28.78, 16, 1 2 1
28.21, 14, 1 -1 1
41.40, 14, 2 -1 1
55.83, 10, 3 3 2
43.85, 9, 2 2 -2
19.68, 9, 1 0 -1